For V2Ga8Cu3, a structure optimized by DFT (PBE) gives the computed XRD peak list in this record (a wavelength of 1.5418 Å).

The 10 most intense peaks (5° ≤ 2θ ≤ 70°), low angle first:
hkl 2 1 1, d = 4.831 Å, I 75; hkl 3 2 1, d = 3.163 Å, I 123; hkl 4 0 0, d = 2.958 Å, I 134; hkl 5 2 1, d = 2.161 Å, I 85; hkl 4 4 0, d = 2.092 Å, I 1000; hkl 6 1 1, d = 1.920 Å, I 58; hkl 4 4 4, d = 1.708 Å, I 34; hkl 6 3 3, d = 1.610 Å, I 25; hkl 8 0 0, d = 1.479 Å, I 144; hkl 6 5 3, d = 1.414 Å, I 31

```
data_V2Ga8Cu3
_chemical_formula_sum 'V16 Ga64 Cu24'
_symmetry_space_group_name_H-M 'I -4 3 d'
_symmetry_Int_Tables_number 220
_symmetry_space_group_name_Hall 'I -4bd 2c 3'
_cell_length_a 11.8338
_cell_length_b 11.8338
_cell_length_c 11.8338
_cell_angle_alpha 90.00
_cell_angle_beta 90.00
_cell_angle_gamma 90.00
loop_
_atom_site_label
_atom_site_fract_x
_atom_site_fract_y
_atom_site_fract_z
V1 0.0121 0.0121 0.0121
Ga1 0.1133 0.3867 0.6133
Ga2 0.1162 0.1198 0.6260
Cu1 0.0000 0.2500 0.7548
```